1.
This entry pairs a crystal structure of Ag2AsS2 with its computed X-ray powder pattern. Radiation: a wavelength of 1.5418 Å. Structure: a crystal structure in Alexandria, relaxed with PBE.
Lines closer than 0.1° are merged.

The 8 most intense peaks (10 to 90 degrees two-theta), by angle:
d [Å], Rel. int.
3.317, 66
3.229, 33
3.135, 95
3.062, 100
2.999, 37
2.897, 34
2.697, 76
1.867, 40

Atomic structure:
```
40
Lattice="9.8146 0.0000 0.0000 0.0000 13.1060 0.0000 -1.1128 0.0000 6.8567" Properties=species:S:1:pos:R:3 pbc="T T T"
Ag 0.0000 1.2173 0.0000
Ag -0.5564 11.8887 3.4283
Ag 0.9401 5.1669 1.5949
Ag 0.3837 7.9391 5.0232
Ag 2.6620 1.4149 3.4373
Ag 3.2184 11.6911 0.0090
Ag 3.5741 5.2832 4.8909
Ag 4.1305 7.8228 1.4626
Ag 5.9438 1.3317 2.8052
Ag 5.3874 11.7743 6.2336
Ag 6.2538 2.6476 5.6177
Ag 6.8102 10.4584 2.1893
Ag 6.9784 4.2326 1.4461
Ag 6.4220 8.8734 4.8744
Ag 7.8036 6.5466 3.2160
Ag 7.2473 6.5594 6.6444
As 0.0134 2.3131 3.6059
As 0.5698 10.7929 0.1775
As -0.1759 4.1584 5.3549
As 0.3805 8.9476 1.9266
As 3.4621 4.0678 1.3184
As 2.9057 9.0382 4.7467
As 2.7307 2.1635 6.5065
As 3.2871 10.9425 3.0781
S 1.0320 5.6641 4.1961
S 1.5884 7.4419 0.7678
S 2.4327 0.8385 0.8115
S 1.8763 12.2675 4.2398
S 4.2978 3.3270 3.3057
S 3.7414 9.7790 6.7340
S 5.0773 5.5006 0.5687
S 4.5209 7.6054 3.9970
S 5.8696 1.2845 0.2203
S 5.3133 11.8215 3.6487
S 7.4639 4.8289 4.9417
S 8.0203 8.2771 1.5134
S 8.0808 1.0397 4.3300
S 8.6372 12.0663 0.9016
S 9.1665 3.2010 1.6254
S 8.6101 9.9050 5.0538
```



2.
This entry pairs a crystal structure of U8As5S3 with its computed X-ray powder pattern. Radiation: a wavelength of 1.5418 Å. Structure: a crystal structure in Alexandria, relaxed with PBE.
Lines closer than 0.1° are merged.

The 8 most intense peaks (10 to 90 degrees two-theta), by angle:
d [Å], Rel. int.
3.288, 48
2.830, 100
2.020, 39
1.983, 35
1.709, 15
1.644, 20
1.275, 18
1.256, 16

Atomic structure:
```
16
Lattice="4.0393 2.3321 6.4173 -4.0393 2.3321 6.4173 0.0000 -4.6642 6.4173" Properties=species:S:1:pos:R:3 pbc="T T T"
U -2.0617 -1.1903 11.1588
U 0.0000 0.0000 4.7086
U 0.0000 -2.3807 8.0931
U -2.0617 1.1903 8.0931
U 2.0617 -1.1903 11.1588
U 0.0000 2.3807 11.1588
U 0.0000 0.0000 14.5433
U 2.0617 1.1903 8.0931
As 0.0000 0.0000 0.0000
As -2.0197 -1.1661 6.4173
As -2.0197 1.1661 12.8346
As 0.0000 2.3321 6.4173
As 0.0000 0.0000 9.6260
S -4.0393 0.0000 9.6260
S -2.0197 1.1661 3.2086
S 2.0197 1.1661 3.2087
```



3.
This entry pairs a crystal structure of Y5ThSc with its computed X-ray powder pattern. Radiation: a wavelength of 1.5418 Å. Structure: a crystal structure in Alexandria, relaxed with PBE.
Lines closer than 0.1° are merged.

The 8 most intense peaks (10 to 90 degrees two-theta), by angle:
d [Å], Rel. int.
6.546, 31
5.629, 21
3.979, 39
2.812, 100
2.742, 100
2.729, 35
2.506, 26
1.846, 18

Atomic structure:
```
14
Lattice="7.0326 0.0000 0.0000 0.0000 10.0230 0.0000 -1.7131 0.0000 6.5462" Properties=species:S:1:pos:R:3 pbc="T T T"
Y 0.0000 0.0000 0.0000
Y 0.0689 2.2502 4.7825
Y 0.0689 7.7728 4.7825
Y 1.7343 2.7613 1.7637
Y 1.7343 7.2617 1.7637
Y 3.5163 5.0115 0.0000
Y 3.5852 2.7613 4.7825
Y 3.5852 7.2617 4.7825
Y 5.2506 2.2502 1.7637
Y 5.2506 7.7728 1.7637
Th 0.0000 5.0115 0.0000
Th 3.5163 0.0000 0.0000
Sc -0.8566 5.0115 3.2731
Sc 2.6597 0.0000 3.2731
```